No. 1
For EuIn4Au, a crystal structure in the Materials Project, relaxed with PBE gives the calculated X-ray diffraction stick pattern in this record (Cu Kα, 1.54184 Å).
Peak positions follow from Bragg's law for the DFT cell and can differ from measured ones.

Main lines, in order of rising 2θ (10° ≤ 2θ ≤ 90°):
| 2θ (°) | intensity |
| --- | --- |
| 10.3 | 27 |
| 27.1 | 17 |
| 30.7 | 100 |
| 32.1 | 23 |
| 33.3 | 36 |
| 34.1 | 19 |
| 34.3 | 62 |
| 38.0 | 47 |
| 39.4 | 34 |
| 40.9 | 21 |
| 51.4 | 25 |
| 55.9 | 22 |

Atomic structure:
```
EuIn4Au
1.0
2.368 -8.626 0.000
2.368 8.626 0.000
0.000 0.000 7.564
Eu In Au
2 8 2
Direct
0.126 0.874 0.750
0.874 0.126 0.250
0.063 0.937 0.250
0.321 0.679 0.548
0.321 0.679 0.952
0.500 0.500 0.000
0.500 0.500 0.500
0.679 0.321 0.048
0.679 0.321 0.452
0.937 0.063 0.750
0.226 0.774 0.250
0.774 0.226 0.750
```

***

No. 2
For Hf2Ga, a crystal structure in the Materials Project, relaxed with PBE gives the calculated X-ray diffraction stick pattern in this record (Cu Kα, 1.54184 Å).
Peak positions follow from Bragg's law for the DFT cell and can differ from measured ones.

Main lines, in order of rising 2θ (10° ≤ 2θ ≤ 90°):
| 2θ (°) | intensity |
| --- | --- |
| 33.9 | 14 |
| 34.3 | 100 |
| 39.0 | 17 |
| 42.6 | 27 |
| 43.6 | 14 |
| 55.5 | 5 |
| 59.4 | 10 |
| 60.9 | 19 |
| 65.9 | 12 |
| 69.2 | 15 |
| 78.9 | 14 |
| 86.7 | 7 |

Atomic structure:
```
Hf2Ga
1.0
6.712 0.000 0.000
0.000 6.712 0.000
0.000 0.000 5.292
Hf Ga
8 4
Direct
0.154 0.346 0.000
0.154 0.654 0.500
0.346 0.154 0.500
0.346 0.846 0.000
0.654 0.154 0.000
0.654 0.846 0.500
0.846 0.346 0.500
0.846 0.654 0.000
0.000 0.000 0.250
0.000 0.000 0.750
0.500 0.500 0.250
0.500 0.500 0.750
```

***

No. 3
For Tl3CoCl5, a crystal structure in the Materials Project, relaxed with PBE gives the calculated X-ray diffraction stick pattern in this record (Cu Kα, 1.54184 Å).
Peak positions follow from Bragg's law for the DFT cell and can differ from measured ones.

Main lines, in order of rising 2θ (10° ≤ 2θ ≤ 90°):
| 2θ (°) | intensity |
| --- | --- |
| 19.0 | 20 |
| 24.0 | 100 |
| 24.4 | 31 |
| 29.4 | 18 |
| 29.6 | 75 |
| 33.0 | 35 |
| 38.6 | 16 |
| 38.8 | 17 |
| 41.5 | 19 |
| 42.8 | 17 |
| 43.9 | 22 |
| 47.5 | 14 |

Atomic structure:
```
Tl3CoCl5
1.0
-4.295 4.295 7.286
4.295 -4.295 7.286
4.295 4.295 -7.286
Tl Co Cl
6 2 10
Direct
0.164 0.664 0.829
0.250 0.250 0.000
0.336 0.164 0.500
0.664 0.836 0.500
0.750 0.750 0.000
0.836 0.336 0.171
0.250 0.750 0.500
0.750 0.250 0.500
0.000 0.000 0.000
0.009 0.803 0.500
0.197 0.697 0.206
0.303 0.509 0.500
0.491 0.991 0.794
0.500 0.500 0.000
0.509 0.009 0.206
0.697 0.491 0.500
0.803 0.303 0.794
0.991 0.197 0.500
```

***

No. 4
For Ca2CdPt2, a crystal structure in the Materials Project, relaxed with PBE gives the calculated X-ray diffraction stick pattern in this record (Cu Kα, 1.54184 Å).
Peak positions follow from Bragg's law for the DFT cell and can differ from measured ones.

Main lines, in order of rising 2θ (10° ≤ 2θ ≤ 90°):
| 2θ (°) | intensity |
| --- | --- |
| 20.6 | 83 |
| 22.3 | 43 |
| 32.5 | 34 |
| 37.0 | 21 |
| 37.1 | 23 |
| 38.0 | 100 |
| 40.0 | 28 |
| 41.9 | 20 |
| 45.4 | 22 |
| 48.7 | 33 |
| 66.1 | 24 |
| 71.4 | 16 |

Atomic structure:
```
Ca2CdPt2
1.0
4.504 0.000 0.000
0.000 5.891 0.000
0.000 0.000 8.624
Ca Cd Pt
4 2 4
Direct
0.000 0.000 0.201
0.000 0.000 0.799
0.500 0.500 0.299
0.500 0.500 0.701
0.000 0.500 0.000
0.500 0.000 0.500
0.000 0.273 0.500
0.000 0.727 0.500
0.500 0.227 0.000
0.500 0.773 0.000
```